Theoretical powder XRD pattern of CsCuCl6 for copper Kα, from a crystal structure in OQMD, relaxed with PBE.
Peak positions follow from Bragg's law for the DFT cell and can differ from measured ones.

The 10 most intense peaks (10° ≤ 2θ ≤ 90°), low angle first:
hkl 0 1 1, 16.2 deg, I 36; hkl 1 0 1, 19.7 deg, I 44; hkl 1 -1 0, 24.9 deg, I 34; hkl 0 0 2, 26.7 deg, I 61; hkl 1 2 1, 26.9 deg, I 100; hkl 1 0 2, 28.3 deg, I 28; hkl 1 1 -1, 28.6 deg, I 25; hkl 2 0 0, 37.0 deg, I 34; hkl -1 2 1, 37.5 deg, I 27; hkl 1 2 3, 39.5 deg, I 20

Structure:
Cell: 5.250 7.169 7.307 Å, 70.78 70.86 73.03°
Sites, in units of the cell vectors:
Cs: 0.000 0.000 0.000
Cu: 0.338 0.477 0.503
Cl: 0.007 0.502 0.006
Cl: 0.129 0.240 0.494
Cl: 0.444 0.406 0.796
Cl: 0.557 0.989 0.504
Cl: 0.565 0.621 0.191
Cl: 0.973 0.761 0.506